Calculated powder diffractogram
Compound: SrOs2PdO8
Radiation: Cu Kα (λ = 1.5418 Å)
Structure: DFT lattice parameters and positions (PBE)
Peak positions follow from Bragg's law for the DFT cell and can differ from measured ones.

Most intense lines, 2θ = 5–70°, in order of rising 2θ:
h k l	2θ/deg	intensity
1 1 0	17.8	52
2 0 0	24.8	100
0 2 0	25.6	90
1 1 -2	32.2	88
1 1 2	34.3	78
2 2 0	36.0	49
3 1 -2	47.1	40
4 0 0	51.0	39
3 1 2	51.5	29
3 3 -2	61.1	30

Cell and atoms:
```
data_SrOs2PdO8
_chemical_formula_sum 'Sr2 Os4 Pd2 O16'
_symmetry_space_group_name_H-M 'C 1 2/m 1'
_symmetry_Int_Tables_number 12
_symmetry_space_group_name_Hall '-C 2y'
_cell_length_a 7.208
_cell_length_b 6.949
_cell_length_c 6.430
_cell_angle_alpha 90.00
_cell_angle_beta 95.42
_cell_angle_gamma 90.00
loop_
_atom_site_label
_atom_site_type_symbol
_atom_site_fract_x
_atom_site_fract_y
_atom_site_fract_z
_atom_site_occupancy
Sr1 Sr 0.000 0.000 0.000 1
Os1 Os 0.017 0.500 0.258 1
Pd1 Pd 0.000 0.000 0.500 1
O1 O 0.045 0.247 0.734 1
O2 O 0.165 0.500 0.035 1
O3 O 0.196 0.500 0.492 1
```

Calculated powder diffractogram
Compound: MgGaAg3
Radiation: Cu Kα (λ = 1.5418 Å)
Structure: DFT lattice parameters and positions (PBE)
Peak positions follow from Bragg's law for the DFT cell and can differ from measured ones.

Most intense lines, 2θ = 5–70°, in order of rising 2θ:
h k l	2θ/deg	intensity
1 0 0	12.6	12
0 1 2	26.1	9
0 2 0	34.7	17
2 1 -3	35.2	21
2 0 2	38.1	39
3 1 -2	39.8	100
1 1 -4	40.6	50
2 2 2	52.5	10
2 3 -3	62.6	17
5 1 0	69.5	9

Cell and atoms:
```
data_MgGaAg3
_chemical_formula_sum 'Mg4 Ga4 Ag12'
_symmetry_space_group_name_H-M 'P 1 21/c 1'
_symmetry_Int_Tables_number 14
_symmetry_space_group_name_Hall '-P 2ybc'
_cell_length_a 7.617
_cell_length_b 5.163
_cell_length_c 9.873
_cell_angle_alpha 90.00
_cell_angle_beta 113.03
_cell_angle_gamma 90.00
loop_
_atom_site_label
_atom_site_type_symbol
_atom_site_fract_x
_atom_site_fract_y
_atom_site_fract_z
_atom_site_occupancy
Mg1 Mg 0.059 0.158 0.190 1
Ga1 Ga 0.361 0.683 0.903 1
Ag1 Ag 0.150 0.663 0.107 1
Ag2 Ag 0.248 0.177 0.991 1
Ag3 Ag 0.458 0.179 0.801 1
```

Calculated powder diffractogram
Compound: Ca6Bi3Sb
Radiation: Cu Kα (λ = 1.5418 Å)
Structure: DFT lattice parameters and positions (PBE)
Peak positions follow from Bragg's law for the DFT cell and can differ from measured ones.

Most intense lines, 2θ = 5–70°, in order of rising 2θ:
h k l	2θ/deg	intensity
1 1 0	13.1	33
0 1 2	13.7	26
1 1 3	21.7	100
3 0 0	22.8	96
2 2 3	31.6	89
1 1 6	37.4	26
1 4 3	39.3	71
3 3 0	40.0	31
2 2 6	44.2	18
5 2 3	51.8	20

Cell and atoms:
```
data_Ca6Bi3Sb
_chemical_formula_sum 'Ca36 Bi18 Sb6'
_symmetry_space_group_name_H-M 'R -3 c'
_symmetry_Int_Tables_number 167
_symmetry_space_group_name_Hall '-R 3 2"c'
_cell_length_a 13.5367
_cell_length_b 13.5367
_cell_length_c 15.4505
_cell_angle_alpha 90.00
_cell_angle_beta 90.00
_cell_angle_gamma 120.00
loop_
_atom_site_label
_atom_site_type_symbol
_atom_site_fract_x
_atom_site_fract_y
_atom_site_fract_z
_atom_site_occupancy
Ca1 Ca 0.0557 0.2248 0.4111 1
Bi1 Bi 0.0000 0.3428 0.2500 1
Sb1 Sb 0.0000 0.0000 0.0000 1
```

Calculated powder diffractogram
Compound: Pr2Dy3Ho6Pb
Radiation: Cu Kα (λ = 1.5418 Å)
Structure: DFT lattice parameters and positions (PBE)
Peak positions follow from Bragg's law for the DFT cell and can differ from measured ones.

Most intense lines, 2θ = 5–70°, in order of rising 2θ:
h k l	2θ/deg	intensity
0 0 4	30.9	34
1 3 1	31.1	100
2 0 2	36.0	68
1 3 5	51.7	24
0 6 0	51.9	24
2 0 6	61.4	14
3 3 3	61.6	29
4 0 0	61.7	14
0 0 8	64.4	4
2 6 2	64.8	12

Cell and atoms:
```
data_Pr2Dy3Ho6Pb
_chemical_formula_sum 'Pr4 Dy6 Ho12 Pb2'
_symmetry_space_group_name_H-M 'C 1 2/m 1'
_symmetry_Int_Tables_number 12
_symmetry_space_group_name_Hall '-C 2y'
_cell_length_a 6.103
_cell_length_b 10.574
_cell_length_c 11.758
_cell_angle_alpha 90.00
_cell_angle_beta 100.00
_cell_angle_gamma 90.00
loop_
_atom_site_label
_atom_site_type_symbol
_atom_site_fract_x
_atom_site_fract_y
_atom_site_fract_z
_atom_site_occupancy
Pr1 Pr 0.000 0.166 0.000 1
Dy1 Dy 0.000 0.000 0.500 1
Dy2 Dy 0.000 0.333 0.500 1
Ho1 Ho 0.243 0.500 0.748 1
Ho2 Ho 0.246 0.337 0.251 1
Pb1 Pb 0.000 0.500 0.000 1
```

Calculated powder diffractogram
Compound: Bi4O5F2
Radiation: Cu Kα (λ = 1.5418 Å)
Structure: DFT lattice parameters and positions (PBE)
Peak positions follow from Bragg's law for the DFT cell and can differ from measured ones.

Most intense lines, 2θ = 5–70°, in order of rising 2θ:
h k l	2θ/deg	intensity
1 0 2	21.8	21
2 0 2	27.6	83
2 2 0	28.6	100
0 2 2	28.7	76
3 1 1	32.6	15
4 0 0	39.2	21
0 4 0	42.5	18
2 3 3	48.2	19
4 2 2	49.3	24
2 4 2	51.4	24

Cell and atoms:
```
data_Bi4O5F2
_chemical_formula_sum 'Bi16 O20 F8'
_symmetry_space_group_name_H-M 'P n m a'
_symmetry_Int_Tables_number 62
_symmetry_space_group_name_Hall '-P 2ac 2n'
_cell_length_a 9.194
_cell_length_b 8.514
_cell_length_c 9.088
_cell_angle_alpha 90.00
_cell_angle_beta 90.00
_cell_angle_gamma 90.00
loop_
_atom_site_label
_atom_site_type_symbol
_atom_site_fract_x
_atom_site_fract_y
_atom_site_fract_z
_atom_site_occupancy
Bi1 Bi 0.017 0.250 0.069 1
Bi2 Bi 0.046 0.750 0.503 1
Bi3 Bi 0.240 0.035 0.711 1
O1 O 0.025 0.564 0.666 1
O2 O 0.168 0.062 0.010 1
O3 O 0.179 0.250 0.576 1
F1 F 0.033 0.750 0.176 1
F2 F 0.220 0.250 0.250 1
```

Calculated powder diffractogram
Compound: NaCaCr2
Radiation: Cu Kα (λ = 1.5418 Å)
Structure: DFT lattice parameters and positions (PBE)
Peak positions follow from Bragg's law for the DFT cell and can differ from measured ones.

Most intense lines, 2θ = 5–70°, in order of rising 2θ:
h k l	2θ/deg	intensity
1 1 1	20.6	3
2 0 0	23.8	7
2 2 0	33.9	100
3 1 1	40.0	1
2 2 2	41.8	2
4 0 0	48.7	16
4 2 0	54.9	2
4 2 2	60.7	31

Cell and atoms:
```
data_NaCaCr2
_chemical_formula_sum 'Na4 Ca4 Cr8'
_symmetry_space_group_name_H-M 'F m -3 m'
_symmetry_Int_Tables_number 225
_symmetry_space_group_name_Hall '-F 4 2 3'
_cell_length_a 7.480
_cell_length_b 7.480
_cell_length_c 7.480
_cell_angle_alpha 90.00
_cell_angle_beta 90.00
_cell_angle_gamma 90.00
loop_
_atom_site_label
_atom_site_type_symbol
_atom_site_fract_x
_atom_site_fract_y
_atom_site_fract_z
_atom_site_occupancy
Na1 Na 0.000 0.000 0.000 1
Ca1 Ca 0.000 0.000 0.500 1
Cr1 Cr 0.250 0.250 0.250 1
```

Calculated powder diffractogram
Compound: MgHg2Bi
Radiation: Cu Kα (λ = 1.5418 Å)
Structure: DFT lattice parameters and positions (PBE)
Peak positions follow from Bragg's law for the DFT cell and can differ from measured ones.

Most intense lines, 2θ = 5–70°, in order of rising 2θ:
h k l	2θ/deg	intensity
1 0 3	23.4	19
1 1 2	29.5	100
0 0 8	32.7	36
1 1 6	37.7	53
2 0 4	43.8	64
1 1 10	50.7	23
2 2 0	58.5	15
2 0 12	66.2	19
3 1 2	66.9	19
2 2 8	68.7	17

Cell and atoms:
```
data_MgHg2Bi
_chemical_formula_sum 'Mg4 Hg8 Bi4'
_symmetry_space_group_name_H-M 'I -4 2 d'
_symmetry_Int_Tables_number 122
_symmetry_space_group_name_Hall 'I -4 2bw'
_cell_length_a 4.460
_cell_length_b 4.460
_cell_length_c 21.904
_cell_angle_alpha 90.00
_cell_angle_beta 90.00
_cell_angle_gamma 90.00
loop_
_atom_site_label
_atom_site_type_symbol
_atom_site_fract_x
_atom_site_fract_y
_atom_site_fract_z
_atom_site_occupancy
Mg1 Mg 0.000 0.000 0.000 1
Hg1 Hg 0.230 0.250 0.125 1
Bi1 Bi 0.000 0.000 0.500 1
```

Calculated powder diffractogram
Compound: Tb2Y6Ho3Pu
Radiation: Cu Kα (λ = 1.5418 Å)
Structure: DFT lattice parameters and positions (PBE)
Peak positions follow from Bragg's law for the DFT cell and can differ from measured ones.

Most intense lines, 2θ = 5–70°, in order of rising 2θ:
h k l	2θ/deg	intensity
0 0 2	15.4	16
2 0 0	29.5	11
1 3 1	30.9	100
0 0 4	31.0	33
2 0 2	35.9	67
0 6 0	51.5	24
1 3 5	51.7	24
4 0 0	61.3	42
2 0 6	61.5	14
2 6 2	64.4	12

Cell and atoms:
```
data_Tb2Y6Ho3Pu
_chemical_formula_sum 'Tb4 Y12 Ho6 Pu2'
_symmetry_space_group_name_H-M 'C 1 2/m 1'
_symmetry_Int_Tables_number 12
_symmetry_space_group_name_Hall '-C 2y'
_cell_length_a 6.142
_cell_length_b 10.641
_cell_length_c 11.721
_cell_angle_alpha 90.00
_cell_angle_beta 100.08
_cell_angle_gamma 90.00
loop_
_atom_site_label
_atom_site_type_symbol
_atom_site_fract_x
_atom_site_fract_y
_atom_site_fract_z
_atom_site_occupancy
Tb1 Tb 0.000 0.167 0.000 1
Y1 Y 0.247 0.500 0.751 1
Y2 Y 0.248 0.335 0.249 1
Ho1 Ho 0.000 0.000 0.500 1
Ho2 Ho 0.000 0.333 0.500 1
Pu1 Pu 0.000 0.500 0.000 1
```